Theoretical X-ray diffraction stick pattern of Zr2Pd2Pt7 for Cu Kα X-rays, from DFT lattice parameters and positions (PBE).

Atomic structure:
Unit cell a=4.011 b=7.835 c=12.199 alpha=90.00 beta=90.00 gamma=90.00
Space group Immm (No. 71)
One atom of each set of equivalent atoms:
1 Zr 0.000 0.000 0.167 (multiplicity 4)
2 Pd 0.000 0.269 0.000 (multiplicity 4)
3 Pt 0.000 0.243 0.340 (multiplicity 8)
4 Pt 0.000 0.500 0.175 (multiplicity 4)
5 Pt 0.000 0.500 0.500 (multiplicity 2)

Most intense lines, 10 to 90 degrees two-theta, low angle first:
2θ (°), d/Å, I_rel, (hkl)
39.03, 2.308, 100, 1 2 3
44.56, 2.033, 17, 0 0 6
45.21, 2.006, 17, 2 0 0
46.35, 1.959, 15, 0 4 0
65.36, 1.428, 11, 2 0 6
66.75, 1.401, 10, 2 4 0
78.36, 1.220, 12, 1 2 9
79.29, 1.208, 13, 3 2 3
80.96, 1.188, 11, 1 6 3
83.85, 1.154, 11, 2 4 6